# Cu2SbS2
Theoretical powder XRD pattern, λ = 1.5418 Å (Cu Kα). Input: a cell relaxed with PBE.

Structural model:
Cell: 6.753 3.679 7.756 Å, 90.00 95.68 90.00°
Space group C2/m (No. 12)
Symmetry-distinct sites (fractional):
Cu: 0.158 0.000 0.263 x4
Sb: 0.000 0.500 0.500 x2
S: 0.170 0.000 0.813 x4

Peak list (10 most intense, 5 to 70 degrees two-theta, by intensity)
two_theta  I (rel.)
11.47  100
35.40  96
29.49  72
37.17  64
47.53  54
30.04  40
49.56  24
46.16  24
65.80  23
47.10  17